Structure and computed powder X-ray diffraction pattern of Tb3TlGe (the PBE geometry in Alexandria; Cu Kα X-rays).
No peak broadening, texture or thermal motion is included.

Atomic structure:
Cell: 5.9885 6.0266 8.8449 Å, 98.29 105.79 112.43°
Atoms (fractional coordinates):
Tb: 0.1302 0.1930 0.3300
Tb: 0.2768 0.4848 0.7605
Tb: 0.3355 0.8092 0.1356
Tb: 0.6645 0.1908 0.8644
Tb: 0.7232 0.5152 0.2395
Tb: 0.8698 0.8070 0.6700
Tl: 0.2813 0.7746 0.4972
Tl: 0.7187 0.2254 0.5028
Ge: 0.2076 0.2084 0.0000
Ge: 0.7924 0.7916 0.0000

Peak list (12 most intense, 10° ≤ 2θ ≤ 90°, by angle)
d_spacing	2θ (°)	I (rel.)
4.420	20.1	23
2.887	31.0	87
2.874	31.1	100
2.704	33.1	29
2.655	33.8	23
2.592	34.6	97
2.583	34.7	84
2.488	36.1	25
2.480	36.2	23
2.308	39.0	63
2.210	40.8	26
1.474	63.1	25

Structure and computed powder X-ray diffraction pattern of Tb8Tl2Ge (the PBE geometry in Alexandria; Cu Kα X-rays).
No peak broadening, texture or thermal motion is included.

Atomic structure:
Cell: 9.8979 9.8979 6.7687 Å, 102.96 102.96 29.96°
Atoms (fractional coordinates):
Tb: 0.0192 0.0192 0.2716
Tb: 0.2106 0.2106 0.8169
Tb: 0.3484 0.3484 0.5130
Tb: 0.4112 0.4112 0.0438
Tb: 0.5888 0.5888 0.9562
Tb: 0.6516 0.6516 0.4870
Tb: 0.7894 0.7894 0.1831
Tb: 0.9808 0.9808 0.7284
Tl: 0.1830 0.1830 0.2556
Tl: 0.8170 0.8170 0.7444
Ge: 0.5000 0.5000 0.5000

Peak list (12 most intense, 10° ≤ 2θ ≤ 90°, by angle)
d_spacing	2θ (°)	I (rel.)
3.184	28.0	33
3.098	28.8	27
3.009	29.7	100
2.820	31.7	88
2.734	32.8	42
2.664	33.6	44
2.583	34.7	19
2.559	35.1	94
2.463	36.5	26
2.381	37.8	38
1.646	55.9	17
1.463	63.6	26

Structure and computed powder X-ray diffraction pattern of Tb2TmGe3 (the PBE geometry in Alexandria; Cu Kα X-rays).
No peak broadening, texture or thermal motion is included.

Atomic structure:
Cell: 7.1663 7.1663 7.1663 Å, 146.41 131.79 60.04°
Atoms (fractional coordinates):
Tb: 0.1678 0.1678 0.0000
Tb: 0.8322 0.8322 0.0000
Tm: 0.5000 0.5000 0.0000
Ge: 0.0000 0.5000 0.5000
Ge: 0.3362 0.8362 0.5000
Ge: 0.6638 0.1638 0.5000

Peak list (10 most intense, 10° ≤ 2θ ≤ 90°, by angle)
d_spacing	2θ (°)	I (rel.)
3.379	26.4	25
2.927	30.5	100
2.070	43.7	75
1.765	51.8	12
1.690	54.3	26
1.463	63.6	12
1.343	70.1	5
1.309	72.2	34
1.195	80.4	25
1.126	86.4	4